1.
For KZnGa2Au, a DFT-relaxed cell (GGA-PBE, Alexandria) gives the theoretical X-ray powder pattern in this record (Cu Ka).
Kinematic intensities with the Lorentz-polarization factor, no thermal factor.

Top 8 peaks for 2θ = 10–90°, by angle:
h k l  2θ/deg  d_spacing  I/Imax
0 0 2  17.30  5.126  71
1 0 1  20.66  4.299  61
1 1 2  31.93  2.803  100
1 0 3  32.31  2.771  45
2 0 0  38.00  2.368  74
2 0 2  42.04  2.149  32
1 1 4  44.52  2.035  64
2 0 8  86.37  1.127  29

Atomic structure:
Cell lengths 4.7353, 4.7353, 10.2514 Å; angles 90.00, 90.00, 90.00 degrees
Space group I-4m2 (No. 119)
Symmetry-distinct sites (fractional):
1 K 0.0000 0.0000 0.0000
2 Zn 0.0000 0.5000 0.7500
3 Ga 0.0000 0.0000 0.3675
4 Au 0.0000 0.5000 0.2500

2.
For LaPm12Pb7, a DFT-relaxed cell (GGA-PBE, Alexandria) gives the theoretical X-ray powder pattern in this record (Cu Ka).
Kinematic intensities with the Lorentz-polarization factor, no thermal factor.

Top 8 peaks for 2θ = 10–90°, by angle:
h k l  2θ/deg  d_spacing  I/Imax
4 0 1  27.69  3.222  53
0 0 3  29.91  2.987  26
3 1 2  30.71  2.912  100
3 3 0  33.72  2.658  98
0 3 3  35.83  2.506  85
0 6 3  50.03  1.823  27
0 7 2  50.55  1.806  31
6 3 3  61.69  1.504  33

Atomic structure:
Cell lengths 15.9474, 15.9474, 8.9615 Å; angles 90.00, 90.00, 120.00 degrees
Space group R-3m (No. 166, hexagonal axes)
Symmetry-distinct sites (fractional):
1 La 0.0000 0.0000 0.0000
2 Pm 0.0000 0.2757 0.0000
3 Pm 0.1104 0.5552 0.0489
4 Pb 0.0000 0.0000 0.5000
5 Pb 0.1037 0.2074 0.7599

3.
For Ca2I2O7, a DFT-relaxed cell (GGA-PBE, Alexandria) gives the theoretical X-ray powder pattern in this record (Cu Ka).
Kinematic intensities with the Lorentz-polarization factor, no thermal factor.

Top 8 peaks for 2θ = 10–90°, by angle:
h k l  2θ/deg  d_spacing  I/Imax
0 2 0  19.82  4.479  40
1 1 -1  21.16  4.199  100
1 1 1  21.59  4.115  49
0 2 1  24.82  3.587  91
2 0 1  28.27  3.156  25
2 2 0  30.98  2.887  38
1 1 -2  33.43  2.680  32
1 3 -2  44.27  2.046  40

Atomic structure:
Cell lengths 7.5530, 8.9590, 5.9904 Å; angles 90.00, 91.51, 90.00 degrees
Space group C2/m (No. 12)
Symmetry-distinct sites (fractional):
1 Ca 0.0000 0.2015 0.0000
2 I 0.2430 0.0000 0.3794
3 O 0.0000 0.5000 0.5000
4 O 0.0042 0.0000 0.2478
5 O 0.2088 0.3379 0.8034

4.
For Ce4Pr2Sn3H2, a DFT-relaxed cell (GGA-PBE, Alexandria) gives the theoretical X-ray powder pattern in this record (Cu Ka).
Kinematic intensities with the Lorentz-polarization factor, no thermal factor.

Top 8 peaks for 2θ = 10–90°, by angle:
h k l  2θ/deg  d_spacing  I/Imax
0 0 8  27.13  3.286  15
1 1 2  27.72  3.219  48
1 1 4  30.16  2.963  22
1 0 7  30.48  2.933  23
1 1 6  33.88  2.646  100
2 0 0  38.35  2.347  53
2 2 0  55.35  1.660  18
3 1 6  66.50  1.406  29

Atomic structure:
Cell lengths 4.6947, 4.6947, 26.2917 Å; angles 90.00, 90.00, 90.00 degrees
Space group I4/mmm (No. 139)
Symmetry-distinct sites (fractional):
1 Ce 0.0000 0.5000 0.0831
2 Pr 0.0000 0.0000 0.2008
3 Sn 0.0000 0.0000 0.3266
4 Sn 0.0000 0.0000 0.5000
5 H 0.0000 0.0000 0.1066

5.
For SiNi6H3, a DFT-relaxed cell (GGA-PBE, Alexandria) gives the theoretical X-ray powder pattern in this record (Cu Ka).
Kinematic intensities with the Lorentz-polarization factor, no thermal factor.

Top 8 peaks for 2θ = 10–90°, by angle:
h k l  2θ/deg  d_spacing  I/Imax
3 0 1  40.69  2.217  89
2 1 -2  43.27  2.091  54
1 0 -4  43.54  2.078  55
2 0 -4  43.83  2.066  21
4 0 -2  44.34  2.043  38
1 1 2  45.31  2.002  100
3 0 2  48.95  1.861  35
5 1 0  70.76  1.332  27

Atomic structure:
Cell lengths 8.2574, 2.6404, 8.3662 Å; angles 90.00, 110.99, 90.00 degrees
Space group P2_1/m (No. 11)
Symmetry-distinct sites (fractional):
1 Si 0.1200 0.2500 0.3744
2 Ni 0.0429 0.2500 0.8564
3 Ni 0.1485 0.7500 0.6167
4 Ni 0.2521 0.2500 0.1674
5 Ni 0.3350 0.7500 0.9419
6 Ni 0.3599 0.7500 0.4470
7 Ni 0.4368 0.2500 0.7226
8 H 0.1632 0.7500 0.0204
9 H 0.4468 0.2500 0.9180
10 H 0.4618 0.2500 0.3369

6.
For NdCdGaPt3, a DFT-relaxed cell (GGA-PBE, Alexandria) gives the theoretical X-ray powder pattern in this record (Cu Ka).
Kinematic intensities with the Lorentz-polarization factor, no thermal factor.

Top 8 peaks for 2θ = 10–90°, by angle:
h k l  2θ/deg  d_spacing  I/Imax
0 2 0  14.41  6.148  54
2 2 0  28.71  3.109  69
0 4 1  33.05  2.710  48
0 2 2  34.45  2.604  80
3 1 0  38.16  2.358  28
2 0 2  40.14  2.246  100
2 4 1  41.69  2.166  51
0 4 2  43.10  2.099  27

Atomic structure:
Cell lengths 7.2085, 12.2966, 5.7447 Å; angles 90.00, 90.00, 90.00 degrees
Space group Cmcm (No. 63)
Symmetry-distinct sites (fractional):
1 Nd 0.0000 0.1915 0.2500
2 Cd 0.0000 0.4431 0.2500
3 Ga 0.0000 0.1259 0.7500
4 Pt 0.0000 0.3232 0.7500
5 Pt 0.1975 0.0000 0.0000

Please write out number 3 again, unchanged.
For Ca2I2O7, a DFT-relaxed cell (GGA-PBE, Alexandria) gives the theoretical X-ray powder pattern in this record (Cu Ka).
Kinematic intensities with the Lorentz-polarization factor, no thermal factor.

Top 8 peaks for 2θ = 10–90°, by angle:
h k l  2θ/deg  d_spacing  I/Imax
0 2 0  19.82  4.479  40
1 1 -1  21.16  4.199  100
1 1 1  21.59  4.115  49
0 2 1  24.82  3.587  91
2 0 1  28.27  3.156  25
2 2 0  30.98  2.887  38
1 1 -2  33.43  2.680  32
1 3 -2  44.27  2.046  40

Atomic structure:
Cell lengths 7.5530, 8.9590, 5.9904 Å; angles 90.00, 91.51, 90.00 degrees
Space group C2/m (No. 12)
Symmetry-distinct sites (fractional):
1 Ca 0.0000 0.2015 0.0000
2 I 0.2430 0.0000 0.3794
3 O 0.0000 0.5000 0.5000
4 O 0.0042 0.0000 0.2478
5 O 0.2088 0.3379 0.8034

Copy entry 2 word for word.
For LaPm12Pb7, a DFT-relaxed cell (GGA-PBE, Alexandria) gives the theoretical X-ray powder pattern in this record (Cu Ka).
Kinematic intensities with the Lorentz-polarization factor, no thermal factor.

Top 8 peaks for 2θ = 10–90°, by angle:
h k l  2θ/deg  d_spacing  I/Imax
4 0 1  27.69  3.222  53
0 0 3  29.91  2.987  26
3 1 2  30.71  2.912  100
3 3 0  33.72  2.658  98
0 3 3  35.83  2.506  85
0 6 3  50.03  1.823  27
0 7 2  50.55  1.806  31
6 3 3  61.69  1.504  33

Atomic structure:
Cell lengths 15.9474, 15.9474, 8.9615 Å; angles 90.00, 90.00, 120.00 degrees
Space group R-3m (No. 166, hexagonal axes)
Symmetry-distinct sites (fractional):
1 La 0.0000 0.0000 0.0000
2 Pm 0.0000 0.2757 0.0000
3 Pm 0.1104 0.5552 0.0489
4 Pb 0.0000 0.0000 0.5000
5 Pb 0.1037 0.2074 0.7599